No. 1
Diffraction record for Ga3Ni7Sb. The XRD peak list is simulated, not measured: it uses DFT lattice parameters and positions (PBE) and Cu Ka.
Peak positions follow from Bragg's law for the DFT cell and can differ from measured ones.

Top 10 peaks for 2θ = 10–90°, sorted by position:
- 2θ 24.62, I = 25
- 2θ 32.39, I = 23
- 2θ 32.71, I = 17
- 2θ 37.07, I = 65
- 2θ 39.47, I = 32
- 2θ 42.15, I = 72
- 2θ 43.60, I = 100
- 2θ 45.01, I = 43
- 2θ 51.49, I = 39
- 2θ 57.37, I = 29

Atomic structure:
a = 5.796 Å, b = 5.796 Å, c = 5.003 Å
α = 106.03°, β = 106.03°, γ = 95.41°
Fractional coordinates of all 11 atoms:
Ga: 0.000 0.000 0.000
Ga: 0.220 0.780 0.500
Ga: 0.780 0.220 0.500
Ni: 0.062 0.586 0.803
Ni: 0.193 0.193 0.525
Ni: 0.414 0.938 0.197
Ni: 0.500 0.500 0.500
Ni: 0.586 0.062 0.803
Ni: 0.807 0.807 0.475
Ni: 0.938 0.414 0.197
Sb: 0.500 0.500 0.000

***

No. 2
Diffraction record for Pm3DyIr2. The XRD peak list is simulated, not measured: it uses DFT lattice parameters and positions (PBE) and Cu Ka.
Peak positions follow from Bragg's law for the DFT cell and can differ from measured ones.

Top 10 peaks for 2θ = 10–90°, sorted by position:
- 2θ 21.99, I = 100
- 2θ 28.66, I = 20
- 2θ 34.15, I = 52
- 2θ 36.02, I = 84
- 2θ 36.84, I = 84
- 2θ 38.39, I = 22
- 2θ 43.31, I = 32
- 2θ 53.09, I = 25
- 2θ 64.21, I = 33
- 2θ 67.76, I = 22

Atomic structure:
a = 8.518 Å, b = 8.518 Å, c = 8.518 Å
α = 132.22°, β = 71.75°, γ = 129.88°
Fractional coordinates of all 12 atoms:
Pm: 0.015 0.750 0.265
Pm: 0.250 0.250 0.000
Pm: 0.485 0.750 0.735
Pm: 0.515 0.250 0.265
Pm: 0.750 0.750 0.000
Pm: 0.985 0.250 0.735
Dy: 0.000 0.500 0.500
Dy: 0.500 0.000 0.500
Ir: 0.137 0.216 0.353
Ir: 0.363 0.716 0.080
Ir: 0.637 0.284 0.920
Ir: 0.863 0.784 0.647

***

No. 3
Diffraction record for Te. The XRD peak list is simulated, not measured: it uses DFT lattice parameters and positions (PBE) and Cu Ka.
Peak positions follow from Bragg's law for the DFT cell and can differ from measured ones.

Top 7 peaks for 2θ = 10–90°, sorted by position:
- 2θ 27.89, I = 100
- 2θ 39.85, I = 76
- 2θ 49.34, I = 27
- 2θ 57.62, I = 13
- 2θ 65.21, I = 35
- 2θ 72.35, I = 26
- 2θ 85.93, I = 8

Atomic structure:
a = 3.199 Å, b = 3.199 Å, c = 3.199 Å
α = 90.00°, β = 90.00°, γ = 90.00°
Fractional coordinates of all 1 atoms:
Te: 0.000 0.000 0.000

***

No. 4
Diffraction record for Cs5BiTe4. The XRD peak list is simulated, not measured: it uses DFT lattice parameters and positions (PBE) and Cu Ka.
Peak positions follow from Bragg's law for the DFT cell and can differ from measured ones.

Top 10 peaks for 2θ = 10–90°, sorted by position:
- 2θ 10.23, I = 27
- 2θ 25.48, I = 100
- 2θ 25.56, I = 52
- 2θ 33.05, I = 29
- 2θ 33.19, I = 25
- 2θ 33.64, I = 25
- 2θ 37.88, I = 16
- 2θ 39.36, I = 15
- 2θ 39.53, I = 15
- 2θ 42.72, I = 26

Atomic structure:
a = 11.765 Å, b = 11.765 Å, c = 9.501 Å
α = 113.50°, β = 113.50°, γ = 26.17°
Fractional coordinates of all 10 atoms:
Cs: 0.000 0.000 0.000
Cs: 0.328 0.328 0.583
Cs: 0.329 0.329 0.067
Cs: 0.671 0.671 0.933
Cs: 0.672 0.672 0.417
Bi: 0.000 0.000 0.500
Te: 0.161 0.161 0.665
Te: 0.499 0.499 0.713
Te: 0.501 0.501 0.287
Te: 0.839 0.839 0.335

***

No. 5
Diffraction record for Ac2MgZnPd4. The XRD peak list is simulated, not measured: it uses DFT lattice parameters and positions (PBE) and Cu Ka.
Peak positions follow from Bragg's law for the DFT cell and can differ from measured ones.

Top 10 peaks for 2θ = 10–90°, sorted by position:
- 2θ 16.32, I = 57
- 2θ 29.12, I = 100
- 2θ 30.94, I = 88
- 2θ 32.40, I = 43
- 2θ 33.95, I = 78
- 2θ 34.65, I = 55
- 2θ 37.25, I = 35
- 2θ 40.24, I = 78
- 2θ 42.07, I = 83
- 2θ 44.57, I = 47

Atomic structure:
a = 11.678 Å, b = 10.078 Å, c = 7.173 Å
α = 83.39°, β = 59.01°, γ = 37.60°
Fractional coordinates of all 16 atoms:
Ac: 0.050 0.050 0.700
Ac: 0.300 0.300 0.950
Ac: 0.700 0.700 0.050
Ac: 0.950 0.950 0.300
Mg: 0.375 0.375 0.375
Mg: 0.625 0.625 0.625
Zn: 0.125 0.125 0.125
Zn: 0.875 0.875 0.875
Pd: 0.104 0.283 0.431
Pd: 0.283 0.104 0.683
Pd: 0.317 0.569 0.717
Pd: 0.431 0.683 0.104
Pd: 0.569 0.317 0.896
Pd: 0.683 0.431 0.283
Pd: 0.717 0.896 0.317
Pd: 0.896 0.717 0.569